# YMnO3
Theoretical X-ray powder pattern, a wavelength of 1.5418 Å. Input: a structure optimized by DFT (GGA+U).
Neutral-atom scattering factors, no anomalous dispersion.

Largest 10 diffraction maxima, in order of rising 2θ, 2θ from 10° to 80°:
- 2θ = 28.65°, intensity 33
- 2θ = 29.69°, intensity 63
- 2θ = 30.87°, intensity 40
- 2θ = 32.63°, intensity 100
- 2θ = 42.61°, intensity 30
- 2θ = 48.98°, intensity 13
- 2θ = 50.75°, intensity 58
- 2θ = 56.02°, intensity 23
- 2θ = 60.59°, intensity 32
- 2θ = 61.65°, intensity 17

Crystal structure
```
data_YMnO3
_chemical_formula_sum 'Y6 Mn6 O18'
_space_group_name_H-M_alt 'P 1'
_space_group_IT_number 1
_cell_length_a 6.2316
_cell_length_b 6.2316
_cell_length_c 11.5878
_cell_angle_alpha 90.00
_cell_angle_beta 90.00
_cell_angle_gamma 120.00
loop_
_space_group_symop_operation_xyz
'x,y,z'
loop_
_atom_site_label
_atom_site_type_symbol
_atom_site_fract_x
_atom_site_fract_y
_atom_site_fract_z
Y1 Y 0.0000 0.0000 0.0000
Y2 Y 0.0000 0.0000 0.5000
Y3 Y 0.3333 0.6667 0.4571
Y4 Y 0.3333 0.6667 0.9571
Y5 Y 0.6667 0.3333 0.4571
Y6 Y 0.6667 0.3333 0.9571
Mn1 Mn 0.0000 0.3336 0.2254
Mn2 Mn 0.0000 0.6664 0.7254
Mn3 Mn 0.3336 0.0000 0.2254
Mn4 Mn 0.3336 0.3336 0.7254
Mn5 Mn 0.6664 0.0000 0.7254
Mn6 Mn 0.6664 0.6664 0.2254
O1 O 0.0000 0.0000 0.2016
O2 O 0.0000 0.0000 0.7016
O3 O 0.0000 0.3077 0.3897
O4 O 0.0000 0.3586 0.0613
O5 O 0.0000 0.6414 0.5613
O6 O 0.0000 0.6923 0.8897
O7 O 0.3077 0.0000 0.3897
O8 O 0.3077 0.3077 0.8897
O9 O 0.3333 0.6667 0.2452
O10 O 0.3333 0.6667 0.7452
O11 O 0.3586 0.0000 0.0613
O12 O 0.3586 0.3586 0.5613
O13 O 0.6414 0.0000 0.5613
O14 O 0.6414 0.6414 0.0613
O15 O 0.6667 0.3333 0.2452
O16 O 0.6667 0.3333 0.7452
O17 O 0.6923 0.0000 0.8897
O18 O 0.6923 0.6923 0.3897
```